Entry 1:
Theoretical X-ray diffraction stick pattern
Compound: U2Si5Ir3
Radiation: copper Kα
Structure: a cell relaxed with PBE
Peak positions follow from Bragg's law for the DFT cell and can differ from measured ones.

Main lines, sorted by position (10° ≤ 2θ ≤ 80°):
- 25.18 deg, I 35
- 27.80 deg, I 24
- 30.49 deg, I 24
- 32.79 deg, I 28
- 34.69 deg, I 100
- 35.46 deg, I 41
- 36.41 deg, I 37
- 44.46 deg, I 58
- 50.70 deg, I 24
- 56.93 deg, I 29

Structure:
Lattice parameters (Å, degrees): 8.119 8.119 8.119 103.64 91.43 137.66
Positions (direct):
1 U 0.132 0.229 0.361
2 U 0.368 0.729 0.097
3 U 0.632 0.271 0.903
4 U 0.868 0.771 0.639
5 Si 0.024 0.750 0.274
6 Si 0.108 0.653 0.761
7 Si 0.250 0.250 0.000
8 Si 0.392 0.153 0.545
9 Si 0.476 0.750 0.726
10 Si 0.524 0.250 0.274
11 Si 0.608 0.847 0.455
12 Si 0.750 0.750 0.000
13 Si 0.892 0.347 0.239
14 Si 0.976 0.250 0.726
15 Ir 0.140 0.884 0.024
16 Ir 0.250 0.750 0.500
17 Ir 0.360 0.384 0.745
18 Ir 0.640 0.616 0.255
19 Ir 0.750 0.250 0.500
20 Ir 0.860 0.116 0.976

***

Entry 2:
Theoretical X-ray diffraction stick pattern
Compound: U2Zn2Si4Ir
Radiation: copper Kα
Structure: a cell relaxed with PBE
Peak positions follow from Bragg's law for the DFT cell and can differ from measured ones.

Main lines, sorted by position (10° ≤ 2θ ≤ 80°):
- 18.08 deg, I 10
- 20.91 deg, I 11
- 29.74 deg, I 100
- 35.02 deg, I 17
- 36.64 deg, I 28
- 42.56 deg, I 42
- 46.59 deg, I 14
- 52.78 deg, I 37
- 61.76 deg, I 26
- 70.03 deg, I 23

Structure:
Lattice parameters (Å, degrees): 6.008 6.008 6.008 120.00 120.00 90.00
Positions (direct):
1 U 0.250 0.750 0.500
2 U 0.750 0.250 0.500
3 Zn 0.206 0.206 0.000
4 Zn 0.794 0.794 0.000
5 Si 0.218 0.218 0.436
6 Si 0.218 0.782 0.000
7 Si 0.782 0.218 0.000
8 Si 0.782 0.782 0.564
9 Ir 0.500 0.500 0.000